Diffraction record for CoAg2CF. The X-ray diffraction stick pattern is simulated, not measured: it uses the PBE+U geometry in Alexandria and λ = 1.5418 Å (Cu Kα).
Neutral-atom scattering factors, no anomalous dispersion.

Most intense lines, 2θ = 5–70°, sorted by position:
- hkl 1 1 0, 2θ = 25.16°, rel. 42
- hkl 0 0 1, 2θ = 25.77°, rel. 77
- hkl 2 0 0, 2θ = 35.88°, rel. 100
- hkl 1 1 1, 2θ = 36.33°, rel. 71
- hkl 2 0 1, 2θ = 44.70°, rel. 70
- hkl 2 2 0, 2θ = 51.65°, rel. 33

Atomic structure:
a b c (Å): 5.006 5.006 3.456
angles (deg): 90.00 90.00 90.00
Sites, in units of the cell vectors:
Co 0.000 0.000 0.000
Ag 0.000 0.500 0.000
Ag 0.500 0.000 0.000
C 0.000 0.000 0.500
F 0.500 0.500 0.500